No. 1
Starting from DFT lattice parameters and positions (GGA-PBE), the X-ray diffraction stick pattern of TbHoSn2Ge2 was computed for a wavelength of 1.5418 Å.
Kinematic intensities with the Lorentz-polarization factor, no thermal factor.

Cell and atoms:
Cell: 4.0725 4.2888 16.3112 Å, 90.00 90.00 90.00°
Space group Amm2 (No. 38)
Inequivalent atoms, fractional coordinates:
Tb  0.0000  0.0000  0.0000
Ho  0.5000  0.0000  0.1880
Sn  0.0000  0.0000  0.3475
Sn  0.5000  0.0000  0.8392
Ge  0.0000  0.0000  0.6484
Ge  0.5000  0.0000  0.5405

The 12 most intense peaks (2θ = 10–90°), in order of rising 2θ:
2theta	d/Å	I/Imax
24.43	3.643	10.6
32.95	2.719	19.7
34.56	2.595	100.0
42.14	2.144	14.2
44.49	2.036	12.4
54.50	1.684	9.6
56.46	1.630	8.7
59.88	1.545	9.5
62.94	1.477	8.9
72.15	1.309	12.0
72.90	1.298	8.3
75.51	1.259	9.5


No. 2
Starting from DFT lattice parameters and positions (GGA-PBE), the X-ray diffraction stick pattern of HoTmSn2Ge2 was computed for a wavelength of 1.5418 Å.
Kinematic intensities with the Lorentz-polarization factor, no thermal factor.

Cell and atoms:
Cell: 4.0630 4.2709 16.1131 Å, 90.00 90.00 90.00°
Space group Amm2 (No. 38)
Inequivalent atoms, fractional coordinates:
Ho  0.0000  0.0000  0.0000
Tm  0.5000  0.0000  0.8129
Sn  0.0000  0.0000  0.6526
Sn  0.5000  0.0000  0.1606
Ge  0.0000  0.0000  0.3513
Ge  0.5000  0.0000  0.4614

The 12 most intense peaks (2θ = 10–90°), in order of rising 2θ:
2theta	d/Å	I/Imax
24.54	3.628	12.2
33.36	2.686	22.0
34.75	2.581	100.0
34.88	2.572	11.1
42.32	2.135	15.7
44.60	2.032	13.5
54.93	1.671	10.8
56.83	1.620	9.8
60.53	1.530	11.0
63.17	1.472	9.7
72.53	1.303	13.4
75.78	1.255	10.7


No. 3
Starting from DFT lattice parameters and positions (GGA-PBE), the X-ray diffraction stick pattern of HoTmTa2Ge2 was computed for a wavelength of 1.5418 Å.
Kinematic intensities with the Lorentz-polarization factor, no thermal factor.

Cell and atoms:
Cell: 4.0101 4.0101 7.7642 Å, 90.00 90.00 90.00°
Space group P4mm (No. 99)
Inequivalent atoms, fractional coordinates:
Ho  0.0000  0.0000  0.0000
Tm  0.5000  0.5000  0.2956
Ta  0.0000  0.5000  0.6464
Ge  0.0000  0.0000  0.3974
Ge  0.5000  0.5000  0.8955

The 12 most intense peaks (2θ = 10–90°), in order of rising 2θ:
2theta	d/Å	I/Imax
11.40	7.764	26.0
32.09	2.789	37.6
33.65	2.664	100.0
34.66	2.588	33.2
39.35	2.290	77.1
45.22	2.005	50.6
56.53	1.628	15.2
57.54	1.602	16.8
58.20	1.585	30.3
65.88	1.418	16.5
76.05	1.252	19.4
79.51	1.205	20.0


No. 4
Starting from DFT lattice parameters and positions (GGA-PBE), the X-ray diffraction stick pattern of TbHoGe2 was computed for a wavelength of 1.5418 Å.
Kinematic intensities with the Lorentz-polarization factor, no thermal factor.

Cell and atoms:
Cell: 4.0752 18.5479 5.4566 Å, 90.00 90.00 90.00°
Space group Cmcm (No. 63)
Inequivalent atoms, fractional coordinates:
Tb  0.0000  0.0787  0.2500
Ho  0.0000  0.2984  0.2500
Ge  0.0000  0.3117  0.7500
Ge  0.0000  0.4579  0.2500

The 12 most intense peaks (2θ = 10–90°), in order of rising 2θ:
2theta	d/Å	I/Imax
25.20	3.533	33.1
26.19	3.403	31.6
27.74	3.216	69.8
30.97	2.887	32.6
32.64	2.743	100.0
32.83	2.728	77.8
36.67	2.451	44.4
38.84	2.318	26.6
44.46	2.038	33.6
46.97	1.934	72.6
51.76	1.766	32.9
56.36	1.633	33.2


No. 5
Starting from DFT lattice parameters and positions (GGA-PBE), the X-ray diffraction stick pattern of TbHoZn2Ge2 was computed for a wavelength of 1.5418 Å.
Kinematic intensities with the Lorentz-polarization factor, no thermal factor.

Cell and atoms:
Cell: 4.2336 4.2336 15.6226 Å, 90.00 90.00 120.00°
Space group P6_3/mmc (No. 194)
Inequivalent atoms, fractional coordinates:
Tb  0.0000  0.0000  0.2500
Ho  0.0000  0.0000  0.0000
Zn  0.3333  0.6667  0.1461
Ge  0.3333  0.6667  0.6134

The 12 most intense peaks (2θ = 10–90°), in order of rising 2θ:
2theta	d/Å	I/Imax
24.28	3.666	16.3
33.52	2.673	100.0
42.72	2.117	46.7
46.50	1.953	8.6
47.71	1.906	3.7
53.14	1.724	6.6
55.36	1.660	23.8
64.97	1.435	18.8
72.35	1.306	21.2
77.86	1.227	5.8
78.22	1.222	7.7
86.02	1.130	3.5


No. 6
Starting from DFT lattice parameters and positions (GGA-PBE), the X-ray diffraction stick pattern of HoTc4Ge2 was computed for a wavelength of 1.5418 Å.
Kinematic intensities with the Lorentz-polarization factor, no thermal factor.

Cell and atoms:
Cell: 4.1244 14.3025 4.0839 Å, 90.00 90.00 90.00°
Space group Cmmm (No. 65)
Inequivalent atoms, fractional coordinates:
Ho  0.0000  0.0000  0.0000
Tc  0.0000  0.1919  0.5000
Tc  0.0000  0.3024  0.0000
Ge  0.0000  0.4131  0.5000

The 12 most intense peaks (2θ = 10–90°), in order of rising 2θ:
2theta	d/Å	I/Imax
31.46	2.844	13.9
33.30	2.690	19.4
36.24	2.479	100.0
38.29	2.351	15.0
43.92	2.061	38.6
44.36	2.042	28.9
44.47	2.037	30.5
54.96	1.671	11.2
56.19	1.637	11.8
64.19	1.451	18.8
75.67	1.257	11.3
76.33	1.248	11.0


No. 7
Starting from DFT lattice parameters and positions (GGA-PBE), the X-ray diffraction stick pattern of HoGeW was computed for a wavelength of 1.5418 Å.
Kinematic intensities with the Lorentz-polarization factor, no thermal factor.

Cell and atoms:
Cell: 6.3406 6.3406 6.3406 Å, 90.00 90.00 90.00°
Space group F-43m (No. 216)
Inequivalent atoms, fractional coordinates:
Ho  0.0000  0.0000  0.0000
Ge  0.2500  0.2500  0.2500
W  0.0000  0.0000  0.5000

The 11 most intense peaks (2θ = 10–90°), in order of rising 2θ:
2theta	d/Å	I/Imax
24.31	3.661	8.6
28.15	3.170	52.7
40.23	2.242	100.0
47.56	1.912	4.2
49.82	1.830	15.0
58.20	1.585	17.0
64.01	1.455	1.7
65.88	1.418	19.6
73.12	1.294	34.6
78.36	1.220	1.3
86.91	1.121	11.3


No. 8
Starting from DFT lattice parameters and positions (GGA-PBE), the X-ray diffraction stick pattern of YHoGe was computed for a wavelength of 1.5418 Å.
Kinematic intensities with the Lorentz-polarization factor, no thermal factor.

Cell and atoms:
Cell: 5.0616 5.0616 6.4739 Å, 90.00 90.00 120.00°
Space group P6_3mc (No. 186)
Inequivalent atoms, fractional coordinates:
Y  0.0000  0.0000  0.0000
Ho  0.3333  0.6667  0.2481
Ge  0.3333  0.6667  0.7457

The 12 most intense peaks (2θ = 10–90°), in order of rising 2θ:
2theta	d/Å	I/Imax
24.52	3.630	26.9
27.56	3.237	12.9
34.44	2.604	88.2
35.47	2.531	100.0
45.49	1.994	20.3
50.27	1.815	29.8
56.89	1.618	8.4
63.03	1.475	29.8
63.69	1.461	17.9
68.86	1.364	28.2
75.07	1.265	11.0
85.27	1.138	12.9


No. 9
Starting from DFT lattice parameters and positions (GGA-PBE), the X-ray diffraction stick pattern of YHoZn2Ge2 was computed for a wavelength of 1.5418 Å.
Kinematic intensities with the Lorentz-polarization factor, no thermal factor.

Cell and atoms:
Cell: 4.2208 4.2208 15.6697 Å, 90.00 90.00 120.00°
Space group P6_3/mmc (No. 194)
Inequivalent atoms, fractional coordinates:
Y  0.0000  0.0000  0.0000
Ho  0.0000  0.0000  0.2500
Zn  0.3333  0.6667  0.1464
Ge  0.3333  0.6667  0.6145

The 12 most intense peaks (2θ = 10–90°), in order of rising 2θ:
2theta	d/Å	I/Imax
11.29	7.835	10.8
24.35	3.655	8.5
33.53	2.673	100.0
42.85	2.110	50.2
46.36	1.959	9.1
47.64	1.909	5.0
53.05	1.726	5.0
55.48	1.656	23.3
64.96	1.436	19.4
72.55	1.303	20.5
77.65	1.230	5.3
78.50	1.218	8.1


No. 10
Starting from DFT lattice parameters and positions (GGA-PBE), the X-ray diffraction stick pattern of Nd4GeI5 was computed for a wavelength of 1.5418 Å.
Kinematic intensities with the Lorentz-polarization factor, no thermal factor.

Cell and atoms:
Cell: 19.6927 4.3354 9.0897 Å, 90.00 102.99 90.00°
Space group C2/m (No. 12)
Inequivalent atoms, fractional coordinates:
Nd  0.0002  0.0000  0.2162
Nd  0.1481  0.5000  0.0754
Ge  0.0000  0.5000  0.0000
I  0.0000  0.5000  0.5000
I  0.1670  0.0000  0.3380
I  0.1708  0.0000  0.8277

The 12 most intense peaks (2θ = 10–90°), in order of rising 2θ:
2theta	d/Å	I/Imax
25.58	3.482	9.6
27.91	3.197	59.4
28.45	3.137	100.0
31.10	2.875	10.8
39.66	2.272	17.9
40.18	2.244	35.4
40.36	2.235	34.1
41.67	2.168	18.5
49.03	1.858	8.8
50.89	1.794	18.8
58.88	1.568	11.1
68.08	1.377	8.2


No. 11
Starting from DFT lattice parameters and positions (GGA-PBE), the X-ray diffraction stick pattern of Pr3Ge2S8I was computed for a wavelength of 1.5418 Å.
Kinematic intensities with the Lorentz-polarization factor, no thermal factor.

Cell and atoms:
Cell: 16.1338 7.9690 11.0204 Å, 90.00 98.57 90.00°
Space group C2/c (No. 15)
Inequivalent atoms, fractional coordinates:
Pr  0.0000  0.1082  0.2500
Pr  0.1991  0.3757  0.6802
Ge  0.1583  0.0402  0.0262
S  0.0648  0.1607  0.5384
S  0.1449  0.2537  0.1509
S  0.1480  0.0971  0.8274
S  0.2151  0.4294  0.4130
I  0.0000  0.4828  0.7500

The 12 most intense peaks (2θ = 10–90°), in order of rising 2θ:
2theta	d/Å	I/Imax
16.27	5.449	65.5
21.07	4.216	53.3
21.17	4.196	46.9
22.61	3.932	42.3
23.78	3.742	79.0
25.64	3.474	78.9
31.95	2.801	100.0
33.71	2.659	42.6
34.45	2.603	53.7
36.44	2.465	41.6
37.86	2.376	44.5
38.29	2.351	51.0


No. 12
Starting from DFT lattice parameters and positions (GGA-PBE), the X-ray diffraction stick pattern of Sm7GeI12 was computed for a wavelength of 1.5418 Å.
Kinematic intensities with the Lorentz-polarization factor, no thermal factor.

Cell and atoms:
Cell: 15.9950 15.9950 10.6039 Å, 90.00 90.00 120.00°
Space group R-3 (No. 148, hexagonal axes)
Inequivalent atoms, fractional coordinates:
Sm  0.0000  0.0000  0.0000
Sm  0.0463  0.8828  0.3486
Ge  0.0000  0.0000  0.5000
I  0.0222  0.4351  0.1656
I  0.0516  0.8679  0.8380

The 12 most intense peaks (2θ = 10–90°), in order of rising 2θ:
2theta	d/Å	I/Imax
11.06	7.998	17.8
24.65	3.612	11.8
27.59	3.233	8.2
28.70	3.111	100.0
40.68	2.218	37.1
41.38	2.182	35.9
50.53	1.806	19.2
51.72	1.767	5.8
59.42	1.555	11.9
66.80	1.401	15.2
67.80	1.382	14.8
74.51	1.274	11.4